(1)
For Ce2N2Cl, a DFT-relaxed cell (PBE, Alexandria) gives the computed powder diffraction line list in this record (a wavelength of 1.5418 Å).

Top 10 peaks for 10° ≤ 2θ ≤ 90°, in order of falling intensity:
2θ = 27.3°, d 3.266, I = 100.0, (1 1 1); 2θ = 32.6°, d 2.749, I = 67.8, (1 1 -2); 2θ = 13.3°, d 6.659, I = 63.0, (0 0 1); 2θ = 24.3°, d 3.667, I = 41.5, (1 1 -1); 2θ = 31.3°, d 2.862, I = 33.1, (0 2 0); 2θ = 45.3°, d 2.003, I = 23.3, (2 2 -1); 2θ = 31.9°, d 2.804, I = 20.9, (2 0 -1); 2θ = 52.1°, d 1.754, I = 20.9, (0 2 3); 2θ = 37.2°, d 2.418, I = 18.4, (1 1 2); 2θ = 45.0°, d 2.016, I = 18.3, (2 2 0)

Structure:
```
data_Ce2N2Cl
_chemical_formula_sum 'Ce4 N4 Cl2'
_cell_length_a 5.778
_cell_length_b 5.723
_cell_length_c 6.774
_cell_angle_alpha 90.00
_cell_angle_beta 100.56
_cell_angle_gamma 90.00
_symmetry_space_group_name_H-M 'C 1 2/m 1'
_symmetry_Int_Tables_number 12
_symmetry_space_group_name_Hall '-C 2y'
loop_
_atom_site_label
_atom_site_fract_x
_atom_site_fract_y
_atom_site_fract_z
_atom_site_occupancy
Ce1 0.220 0.000 0.341 1
N1 0.000 0.250 0.500 1
Cl1 0.000 0.500 0.000 1
```


(2)
For Ce4Nd2Sn3Cl2, a DFT-relaxed cell (PBE, Alexandria) gives the computed powder diffraction line list in this record (a wavelength of 1.5418 Å).

Top 10 peaks for 10° ≤ 2θ ≤ 90°, in order of falling intensity:
2θ = 32.6°, d 2.745, I = 100.0, (1 1 6); 2θ = 34.0°, d 2.636, I = 81.1, (2 0 0); 2θ = 25.0°, d 3.564, I = 47.4, (1 1 2); 2θ = 60.0°, d 1.542, I = 36.0, (3 1 6); 2θ = 30.8°, d 2.903, I = 32.2, (1 0 7); 2θ = 48.9°, d 1.864, I = 29.1, (2 2 0); 2θ = 28.1°, d 3.179, I = 22.8, (1 1 4); 2θ = 46.5°, d 1.952, I = 20.3, (2 1 7); 2θ = 57.3°, d 1.608, I = 18.9, (2 0 12); 2θ = 51.1°, d 1.788, I = 14.3, (2 0 10)

Structure:
```
data_Ce4Nd2Sn3Cl2
_chemical_formula_sum 'Ce8 Nd4 Sn6 Cl4'
_cell_length_a 5.272
_cell_length_b 5.272
_cell_length_c 24.347
_cell_angle_alpha 90.00
_cell_angle_beta 90.00
_cell_angle_gamma 90.00
_symmetry_space_group_name_H-M 'I 4/m m m'
_symmetry_Int_Tables_number 139
_symmetry_space_group_name_Hall '-I 4 2'
loop_
_atom_site_label
_atom_site_fract_x
_atom_site_fract_y
_atom_site_fract_z
_atom_site_occupancy
Ce1 0.000 0.500 0.085 1
Nd1 0.000 0.000 0.199 1
Sn1 0.000 0.000 0.330 1
Sn2 0.000 0.000 0.500 1
Cl1 0.000 0.000 0.076 1
```


(3)
For CeNiCl6, a DFT-relaxed cell (PBE, Alexandria) gives the computed powder diffraction line list in this record (a wavelength of 1.5418 Å).

Top 10 peaks for 10° ≤ 2θ ≤ 90°, in order of falling intensity:
2θ = 17.2°, d 5.161, I = 100.0, (1 1 -1); 2θ = 15.8°, d 5.601, I = 70.2, (0 2 0); 2θ = 34.0°, d 2.638, I = 50.9, (1 3 1); 2θ = 30.8°, d 2.908, I = 36.3, (2 0 -2); 2θ = 46.5°, d 1.954, I = 35.1, (1 3 -3); 2θ = 25.2°, d 3.536, I = 30.8, (1 1 1); 2θ = 32.7°, d 2.737, I = 20.9, (2 2 0); 2θ = 34.8°, d 2.581, I = 16.1, (2 2 -2); 2θ = 43.3°, d 2.091, I = 14.5, (0 4 2); 2θ = 40.2°, d 2.246, I = 14.3, (3 1 -1)

Structure:
```
data_CeNiCl6
_chemical_formula_sum 'Ce2 Ni2 Cl12'
_cell_length_a 6.901
_cell_length_b 11.203
_cell_length_c 6.912
_cell_angle_alpha 90.00
_cell_angle_beta 114.70
_cell_angle_gamma 90.00
_symmetry_space_group_name_H-M 'C 1 2/m 1'
_symmetry_Int_Tables_number 12
_symmetry_space_group_name_Hall '-C 2y'
loop_
_atom_site_label
_atom_site_fract_x
_atom_site_fract_y
_atom_site_fract_z
_atom_site_occupancy
Ce1 0.000 0.000 0.000 1
Ni1 0.000 0.500 0.500 1
Cl1 0.199 0.357 0.707 1
Cl2 0.215 0.000 0.779 1
```